For PmDyS2, the GGA-PBE geometry in Alexandria gives the simulated powder diffractogram in this record (CuKα).
Neutral-atom scattering factors, no anomalous dispersion.

```
data_PmDyS2
_symmetry_space_group_name_H-M 'P 63/m m c'
_symmetry_Int_Tables_number 194
_symmetry_space_group_name_Hall '-P 6c 2c'
_cell_length_a 3.9249
_cell_length_b 3.9249
_cell_length_c 13.3250
_cell_angle_alpha 90.00
_cell_angle_beta 90.00
_cell_angle_gamma 120.00
loop_
_atom_site_label
_atom_site_fract_x
_atom_site_fract_y
_atom_site_fract_z
Pm1 0.3333 0.6667 0.2500
Dy1 0.0000 0.0000 0.0000
S1 0.3333 0.6667 0.6178
```

The 12 most intense peaks (10 to 90 degrees two-theta), low angle first:
Position (°2θ)	I (rel.)	(hkl)
26.8	23	0 0 4
27.1	18	1 0 1
29.5	100	1 0 2
33.2	42	1 0 3
37.8	14	1 0 4
43.1	16	1 0 5
46.3	38	1 1 0
49.0	27	1 0 6
54.2	21	1 1 4
55.8	17	2 0 2
74.8	18	1 1 8
75.3	14	2 1 2

***

For PmDy2S3, the GGA-PBE geometry in Alexandria gives the simulated powder diffractogram in this record (CuKα).
Neutral-atom scattering factors, no anomalous dispersion.

```
data_PmDy2S3
_symmetry_space_group_name_H-M 'I m m m'
_symmetry_Int_Tables_number 71
_symmetry_space_group_name_Hall '-I 2 2'
_cell_length_a 3.9503
_cell_length_b 5.5819
_cell_length_c 11.8438
_cell_angle_alpha 90.00
_cell_angle_beta 90.00
_cell_angle_gamma 90.00
loop_
_atom_site_label
_atom_site_fract_x
_atom_site_fract_y
_atom_site_fract_z
Pm1 0.0000 0.0000 0.0000
Dy1 0.0000 0.0000 0.3373
S1 0.0000 0.5000 0.0000
S2 0.0000 0.5000 0.3260
```

The 10 most intense peaks (10 to 90 degrees two-theta), low angle first:
Position (°2θ)	I (rel.)	(hkl)
27.7	80	1 1 0
32.1	100	0 2 0
41.4	1	1 1 4
46.0	72	2 0 0
54.5	39	2 1 3
57.1	25	2 2 0
67.0	11	0 4 0
74.0	16	3 1 0
76.3	32	3 0 3
85.1	24	2 4 0

***

For Pm4DyS4, the GGA-PBE geometry in Alexandria gives the simulated powder diffractogram in this record (CuKα).
Neutral-atom scattering factors, no anomalous dispersion.

```
data_Pm4DyS4
_symmetry_space_group_name_H-M 'I 4/m'
_symmetry_Int_Tables_number 87
_symmetry_space_group_name_Hall '-I 4'
_cell_length_a 8.8855
_cell_length_b 8.8855
_cell_length_c 5.6721
_cell_angle_alpha 90.00
_cell_angle_beta 90.00
_cell_angle_gamma 90.00
loop_
_atom_site_label
_atom_site_fract_x
_atom_site_fract_y
_atom_site_fract_z
Pm1 0.1010 0.3026 0.0000
Dy1 0.0000 0.0000 0.5000
S1 0.0975 0.2954 0.5000
```

The 12 most intense peaks (10 to 90 degrees two-theta), low angle first:
Position (°2θ)	I (rel.)	(hkl)
27.4	100	2 1 1
31.5	36	0 0 2
31.8	71	1 3 0
45.4	52	1 3 2
45.7	26	4 2 0
53.7	16	2 1 3
54.1	32	5 0 1
56.6	27	4 2 2
73.1	13	5 0 3
75.0	12	1 3 4
75.5	11	2 6 2
84.3	17	7 1 2

***

For PmDyTm4S8, the GGA-PBE geometry in Alexandria gives the simulated powder diffractogram in this record (CuKα).
Neutral-atom scattering factors, no anomalous dispersion.

```
data_PmDyTm4S8
_symmetry_space_group_name_H-M 'R 3 m'
_symmetry_Int_Tables_number 160
_symmetry_space_group_name_Hall 'R 3 -2"'
_cell_length_a 7.9961
_cell_length_b 7.9961
_cell_length_c 19.6731
_cell_angle_alpha 90.00
_cell_angle_beta 90.00
_cell_angle_gamma 120.00
loop_
_atom_site_label
_atom_site_fract_x
_atom_site_fract_y
_atom_site_fract_z
Pm1 0.0000 0.0000 0.0000
Dy1 0.0000 0.0000 0.6251
Tm1 0.0000 0.0000 0.2511
Tm2 0.0016 0.5008 0.1260
S1 0.0000 0.0000 0.3832
S2 0.0000 0.0000 0.8636
S3 0.0278 0.5139 0.3808
S4 0.1746 0.3493 0.2054
```

The 12 most intense peaks (10 to 90 degrees two-theta), low angle first:
Position (°2θ)	I (rel.)	(hkl)
13.5	9	0 0 3
22.2	25	1 0 4
26.1	100	0 2 1
27.3	11	2 0 2
31.6	19	0 2 4
41.4	12	0 2 7
41.5	32	0 3 3
45.2	28	2 0 8
45.4	28	2 2 0
53.1	11	4 0 1
63.1	10	4 0 7
83.7	9	4 2 8